No. 1
The following is a simulated XRD peak list of LuIO9. It was derived from DFT lattice parameters and positions (PBE), using Cu Kα.
Peak positions follow from Bragg's law for the DFT cell and can differ from measured ones.

Structural model:
a = 7.2584 Å, b = 10.7871 Å, c = 10.4899 Å
α = 90.00°, β = 123.64°, γ = 90.00°
Sites, in units of the cell vectors:
1 Lu 0.1747 0.0911 0.1804
2 Lu 0.1747 0.4089 0.6804
3 Lu 0.8253 0.5911 0.3196
4 Lu 0.8253 0.9089 0.8196
5 I 0.0264 0.6849 0.7339
6 I 0.0264 0.8151 0.2339
7 I 0.9736 0.1849 0.7661
8 I 0.9736 0.3151 0.2661
9 O 0.0752 0.0723 0.9386
10 O 0.0752 0.4277 0.4386
11 O 0.0883 0.7289 0.4067
12 O 0.0883 0.7711 0.9067
13 O 0.1673 0.0554 0.6788
14 O 0.1673 0.4446 0.1788
15 O 0.1931 0.7130 0.1909
16 O 0.1931 0.7870 0.6909
17 O 0.2126 0.5541 0.8442
18 O 0.2126 0.9459 0.3442
19 O 0.2414 0.2288 0.3719
20 O 0.2414 0.2712 0.8719
21 O 0.3845 0.0458 0.7668
22 O 0.3845 0.4542 0.2668
23 O 0.4626 0.5300 0.2099
24 O 0.4626 0.9700 0.7099
25 O 0.4734 0.2265 0.1957
26 O 0.4734 0.2735 0.6957
27 O 0.5266 0.7265 0.3043
28 O 0.5266 0.7735 0.8043
29 O 0.5374 0.0300 0.2901
30 O 0.5374 0.4700 0.7901
31 O 0.6155 0.5458 0.7332
32 O 0.6155 0.9542 0.2332
33 O 0.7586 0.7288 0.1281
34 O 0.7586 0.7712 0.6281
35 O 0.7874 0.0541 0.6558
36 O 0.7874 0.4459 0.1558
37 O 0.8069 0.2130 0.3091
38 O 0.8069 0.2870 0.8091
39 O 0.8327 0.5554 0.8212
40 O 0.8327 0.9446 0.3212
41 O 0.9117 0.2289 0.0933
42 O 0.9117 0.2711 0.5933
43 O 0.9248 0.5723 0.5614
44 O 0.9248 0.9277 0.0614

Main lines, low angle first (2θ from 5° to 70°):
14.66°, I 100.0, (1 0 0); 14.85°, I 99.5, (1 1 -1); 20.34°, I 96.7, (0 0 2); 28.89°, I 28.4, (1 3 0); 30.32°, I 66.1, (2 2 -1); 30.55°, I 31.1, (1 2 -3); 33.03°, I 26.0, (2 2 -3); 40.23°, I 24.5, (1 4 1)


No. 2
The following is a simulated XRD peak list of LuIO. It was derived from DFT lattice parameters and positions (PBE), using Cu Kα.
Peak positions follow from Bragg's law for the DFT cell and can differ from measured ones.

Structural model:
a = 3.8602 Å, b = 3.8602 Å, c = 9.8942 Å
α = 90.00°, β = 90.00°, γ = 90.00°
Sites, in units of the cell vectors:
1 Lu 0.2500 0.2500 0.1066
2 Lu 0.7500 0.7500 0.8934
3 I 0.2500 0.2500 0.6986
4 I 0.7500 0.7500 0.3014
5 O 0.2500 0.7500 0.0000
6 O 0.7500 0.2500 0.0000

Main lines, low angle first (2θ from 5° to 70°):
8.94°, I 81.2, (0 0 1); 29.35°, I 100.0, (1 0 2); 32.81°, I 49.7, (1 1 0); 35.81°, I 51.5, (1 0 3); 47.08°, I 22.5, (2 0 0); 56.46°, I 31.9, (2 1 2); 57.53°, I 23.9, (1 1 5); 60.54°, I 22.5, (2 1 3)


No. 3
The following is a simulated XRD peak list of MgI2. It was derived from DFT lattice parameters and positions (PBE), using Cu Kα.
Peak positions follow from Bragg's law for the DFT cell and can differ from measured ones.

Structural model:
a = 4.2095 Å, b = 4.2095 Å, c = 7.7313 Å
α = 90.00°, β = 90.00°, γ = 120.00°
Sites, in units of the cell vectors:
1 Mg 0.0000 0.0000 0.0000
2 I 0.3333 0.6667 0.7835
3 I 0.6667 0.3333 0.2165

Main lines, low angle first (2θ from 5° to 70°):
11.45°, I 17.5, (0 0 1); 23.01°, I 22.8, (0 0 2); 24.42°, I 14.1, (1 0 0); 27.04°, I 100.0, (0 1 1); 33.80°, I 33.9, (1 0 2); 42.98°, I 49.2, (1 1 0); 49.30°, I 17.2, (1 1 2); 51.51°, I 16.4, (2 0 1)


No. 4
The following is a simulated XRD peak list of MgI2N2. It was derived from DFT lattice parameters and positions (PBE), using Cu Kα.
Peak positions follow from Bragg's law for the DFT cell and can differ from measured ones.

Structural model:
a = 6.1692 Å, b = 12.1832 Å, c = 4.0789 Å
α = 90.00°, β = 90.00°, γ = 90.00°
Sites, in units of the cell vectors:
1 Mg 0.0000 0.0000 0.0000
2 Mg 0.5000 0.5000 0.0000
3 I 0.2270 0.1181 0.5000
4 I 0.2730 0.6181 0.5000
5 I 0.7270 0.3819 0.5000
6 I 0.7730 0.8819 0.5000
7 N 0.2401 0.3703 0.0000
8 N 0.2599 0.8703 0.0000
9 N 0.7401 0.1297 0.0000
10 N 0.7599 0.6297 0.0000

Main lines, low angle first (2θ from 5° to 70°):
20.49°, I 80.9, (1 2 0); 21.79°, I 27.9, (0 0 1); 28.95°, I 21.5, (2 0 0); 29.32°, I 21.9, (0 4 0); 30.08°, I 100.0, (1 2 1); 36.53°, I 23.6, (2 0 1); 36.83°, I 23.0, (0 4 1); 41.67°, I 22.1, (2 4 0)